The following is a calculated powder X-ray diffraction pattern of Mg3BH3O6. It was derived from a cell relaxed with GGA-PBE, using Cu Kα, 1.54184 Å.
Neutral-atom scattering factors, no anomalous dispersion.

```
26
Lattice="9.102 0.000 0.000 -4.551 7.882 0.000 0.000 0.000 3.199" Properties=species:S:1:pos:R:3 pbc="T T T"
Mg -1.410 2.966 0.800
Mg -1.278 7.620 0.800
Mg 1.863 2.704 2.399
Mg 2.687 5.178 0.800
Mg 5.828 0.262 2.399
Mg 5.961 4.917 2.399
B 0.000 5.255 2.399
B 4.551 2.627 0.800
H -3.765 6.554 0.800
H 0.758 1.345 0.800
H 1.544 0.016 2.399
H 3.007 7.866 0.800
H 3.793 6.537 2.399
H 8.316 1.329 2.399
O -2.838 6.255 0.800
O -1.097 4.382 2.399
O 0.553 2.296 0.800
O 2.265 0.670 2.399
O -0.207 6.641 2.399
O 1.304 4.741 2.399
O 3.247 3.141 0.800
O 4.758 1.241 0.800
O 2.286 7.213 0.800
O 3.998 5.586 2.399
O 5.648 3.500 0.800
O 7.389 1.627 2.399
```

Principal peaks in the range 15° ≤ 2θ ≤ 90°, by intensity:
(hkl), two_theta, I (rel.)
2 0 1, 36.17, 100
1 1 0, 19.51, 56
1 4 1, 61.17, 53
2 2 1, 49.14, 51
1 2 1, 41.42, 49
3 0 0, 34.12, 39
1 1 1, 34.27, 34
3 1 0, 41.30, 32
0 0 2, 57.63, 30
2 1 0, 29.99, 29